The following is a theoretical XRD peak list of Na5Tl4Pb4. It was derived from a structure optimized by DFT (GGA-PBE), using copper Kα.
Neutral-atom scattering factors, no anomalous dispersion.

Unit cell a=13.167 b=13.167 c=4.482 alpha=90.00 beta=90.00 gamma=90.00
Space group I4/m (No. 87)
Symmetry-distinct sites (fractional):
Na  0.000  0.000  0.000
Na  0.039  0.796  0.500
Tl  0.154  0.223  0.000
Pb  0.079  0.611  0.000

Peak list (8 most intense, 2θ = 5–70°, sorted by position)
Position (°2θ)  d/Å  I_rel
9.50  9.310  417
24.97  3.566  117
31.60  2.831  1000
34.74  2.582  361
40.24  2.241  124
49.95  1.826  129
54.19  1.693  206
60.32  1.534  305

The following is a theoretical XRD peak list of Na2TlPb8. It was derived from a structure optimized by DFT (GGA-PBE), using copper Kα.
Neutral-atom scattering factors, no anomalous dispersion.

Unit cell a=6.145 b=6.761 c=9.106 alpha=68.26 beta=87.84 gamma=89.65
Space group P-1 (No. 2)
Symmetry-distinct sites (fractional):
Na  0.180  0.340  0.323
Tl  0.500  0.000  0.000
Pb  0.001  0.247  0.001
Pb  0.163  0.832  0.338
Pb  0.336  0.416  0.670
Pb  0.339  0.914  0.671

Peak list (8 most intense, 2θ = 5–70°, sorted by position)
Position (°2θ)  d/Å  I_rel
14.11  6.278  270
31.38  2.851  516
31.76  2.817  1000
31.90  2.805  495
35.48  2.530  389
37.31  2.410  328
37.48  2.399  324
52.75  1.735  249

The following is a theoretical XRD peak list of NaTmPb3. It was derived from a structure optimized by DFT (GGA-PBE), using copper Kα.
Neutral-atom scattering factors, no anomalous dispersion.

Unit cell a=6.471 b=14.061 c=6.373 alpha=90.00 beta=90.13 gamma=90.00
Space group P2/c (No. 13)
Symmetry-distinct sites (fractional):
Na  0.000  0.102  0.250
Na  0.500  0.102  0.250
Tm  0.250  0.316  0.503
Pb  0.000  0.495  0.750
Pb  0.250  0.107  0.709
Pb  0.250  0.290  0.011
Pb  0.500  0.495  0.750

Peak list (8 most intense, 2θ = 5–70°, sorted by position)
Position (°2θ)  d/Å  I_rel
6.29  14.061  1000
30.41  2.939  637
30.81  2.902  861
31.82  2.812  811
33.66  2.663  418
34.02  2.635  784
40.24  2.241  568
47.69  1.907  345

The following is a theoretical XRD peak list of Na4TmPb15. It was derived from a structure optimized by DFT (GGA-PBE), using copper Kα.
Neutral-atom scattering factors, no anomalous dispersion.

Unit cell a=4.955 b=4.955 c=24.203 alpha=90.00 beta=90.00 gamma=90.00
Space group P4/mmm (No. 123)
Symmetry-distinct sites (fractional):
Na  0.000  0.000  0.101
Na  0.000  0.000  0.303
Tm  0.000  0.000  0.500
Pb  0.000  0.500  0.000
Pb  0.000  0.500  0.201
Pb  0.000  0.500  0.402
Pb  0.500  0.500  0.101
Pb  0.500  0.500  0.301
Pb  0.500  0.500  0.500

Peak list (8 most intense, 2θ = 5–70°, sorted by position)
Position (°2θ)  d/Å  I_rel
31.52  2.838  1000
36.26  2.478  347
37.15  2.420  161
52.21  1.752  125
52.88  1.731  239
62.27  1.491  296
63.47  1.466  138
65.80  1.419  126

The following is a theoretical XRD peak list of Na6ZnPb. It was derived from a structure optimized by DFT (GGA-PBE), using copper Kα.
Neutral-atom scattering factors, no anomalous dispersion.

Unit cell a=6.163 b=6.169 c=6.204 alpha=90.82 beta=90.77 gamma=90.46
Space group P-1 (No. 2)
Symmetry-distinct sites (fractional):
Na  0.002  0.003  0.248
Na  0.253  0.499  0.998
Na  0.498  0.248  0.503
Zn  0.000  0.500  0.500
Pb  0.500  0.000  0.000

Peak list (8 most intense, 2θ = 5–70°, sorted by position)
Position (°2θ)  d/Å  I_rel
14.34  6.178  699
20.17  4.404  650
20.29  4.377  318
20.45  4.342  945
28.97  3.082  567
35.47  2.531  1000
35.62  2.520  333
35.97  2.497  482

The following is a theoretical XRD peak list of Na3ZnPb. It was derived from a structure optimized by DFT (GGA-PBE), using copper Kα.
Neutral-atom scattering factors, no anomalous dispersion.

Unit cell a=8.422 b=6.560 c=10.821 alpha=90.00 beta=107.22 gamma=90.00
Space group P2_1/c (No. 14)
Symmetry-distinct sites (fractional):
Na  0.009  0.031  0.165
Na  0.224  0.004  0.564
Na  0.389  0.713  0.840
Zn  0.327  0.517  0.570
Pb  0.348  0.221  0.852

Peak list (8 most intense, 2θ = 5–70°, sorted by position)
Position (°2θ)  d/Å  I_rel
11.00  8.045  1000
17.44  5.084  910
21.90  4.059  642
22.11  4.020  565
25.98  3.429  363
33.13  2.704  337
35.93  2.499  598
36.35  2.471  546

The following is a theoretical XRD peak list of Na8Pd. It was derived from a structure optimized by DFT (GGA-PBE), using copper Kα.
Neutral-atom scattering factors, no anomalous dispersion.

Unit cell a=10.423 b=10.423 c=5.048 alpha=90.00 beta=90.00 gamma=90.00
Space group I4/mmm (No. 139)
Symmetry-distinct sites (fractional):
Na  0.000  0.307  0.000
Na  0.149  0.149  0.500
Pd  0.000  0.000  0.000

Peak list (8 most intense, 2θ = 5–70°, sorted by position)
Position (°2θ)  d/Å  I_rel
12.01  7.370  662
17.01  5.212  213
19.54  4.543  254
26.02  3.424  190
31.25  2.862  1000
36.58  2.457  300
39.88  2.260  248
51.94  1.760  207

The following is a theoretical XRD peak list of NaPm4Pd5. It was derived from a structure optimized by DFT (GGA-PBE), using copper Kα.
Neutral-atom scattering factors, no anomalous dispersion.

Unit cell a=3.585 b=3.585 c=17.752 alpha=90.00 beta=90.00 gamma=90.00
Space group P4/mmm (No. 123)
Symmetry-distinct sites (fractional):
Na  0.000  0.000  0.000
Pm  0.000  0.000  0.192
Pm  0.000  0.000  0.398
Pd  0.500  0.500  0.104
Pd  0.500  0.500  0.297
Pd  0.500  0.500  0.500

Peak list (8 most intense, 2θ = 5–70°, sorted by position)
Position (°2θ)  d/Å  I_rel
9.97  8.876  63
14.97  5.917  39
35.41  2.535  519
35.59  2.523  1000
50.94  1.793  183
51.48  1.775  81
63.69  1.461  361
64.03  1.454  165

The following is a theoretical XRD peak list of Na2PmPd9. It was derived from a structure optimized by DFT (GGA-PBE), using copper Kα.
Neutral-atom scattering factors, no anomalous dispersion.

Unit cell a=5.3540 b=5.3540 c=26.7562 alpha=90.00 beta=90.00 gamma=120.00
Space group R-3m (No. 166, hexagonal axes)
Symmetry-distinct sites (fractional):
Na  0.0000  0.0000  0.1449
Pm  0.0000  0.0000  0.0000
Pd  0.0000  0.0000  0.3331
Pd  0.0000  0.0000  0.5000
Pd  0.0018  0.5009  0.9158

Peak list (8 most intense, 2θ = 5–70°, sorted by position)
Position (°2θ)  d/Å  I_rel
9.92  8.919  336
19.43  4.569  303
39.00  2.310  266
39.25  2.295  1000
40.46  2.230  366
42.49  2.127  323
45.77  1.982  198
63.73  1.460  234

The following is a theoretical XRD peak list of Na2Sb2PdPt. It was derived from a structure optimized by DFT (GGA-PBE), using copper Kα.
Neutral-atom scattering factors, no anomalous dispersion.

Unit cell a=6.487 b=13.631 c=6.567 alpha=90.00 beta=90.00 gamma=90.00
Space group Ibam (No. 72)
Symmetry-distinct sites (fractional):
Na  0.248  0.159  0.000
Sb  0.246  0.397  0.000
Pd  0.000  0.000  0.250
Pt  0.000  0.500  0.250

Peak list (8 most intense, 2θ = 5–70°, sorted by position)
Position (°2θ)  d/Å  I_rel
12.99  6.816  1000
23.28  3.821  315
30.21  2.958  149
30.52  2.929  145
38.06  2.364  358
38.31  2.349  351
39.04  2.307  401
41.31  2.186  235

The following is a theoretical XRD peak list of NaPu2Pd9. It was derived from a structure optimized by DFT (GGA-PBE), using copper Kα.
Neutral-atom scattering factors, no anomalous dispersion.

Unit cell a=4.150 b=4.150 c=12.112 alpha=90.00 beta=90.00 gamma=90.00
Space group P4/mmm (No. 123)
Symmetry-distinct sites (fractional):
Na  0.000  0.000  0.000
Pu  0.000  0.000  0.327
Pd  0.000  0.500  0.166
Pd  0.000  0.500  0.500
Pd  0.500  0.500  0.000
Pd  0.500  0.500  0.332

Peak list (8 most intense, 2θ = 5–70°, sorted by position)
Position (°2θ)  d/Å  I_rel
7.30  12.112  173
14.63  6.056  65
26.03  3.424  69
37.90  2.374  1000
43.61  2.075  338
44.90  2.019  152
63.39  1.467  110
64.39  1.447  206

The following is a theoretical XRD peak list of RbNa4Pd. It was derived from a structure optimized by DFT (GGA-PBE), using copper Kα.
Neutral-atom scattering factors, no anomalous dispersion.

Unit cell a=21.685 b=8.296 c=5.620 alpha=90.00 beta=104.65 gamma=90.00
Space group C2/m (No. 12)
Symmetry-distinct sites (fractional):
Rb  0.213  0.000  0.213
Na  0.000  0.195  0.000
Na  0.087  0.267  0.585
Na  0.124  0.500  0.122
Pd  0.000  0.500  0.253

Peak list (8 most intense, 2θ = 5–70°, sorted by position)
Position (°2θ)  d/Å  I_rel
8.43  10.490  589
11.47  7.715  1000
16.58  5.347  797
16.90  5.245  349
21.42  4.148  266
27.41  3.254  260
31.74  2.819  334
40.23  2.242  254

The following is a theoretical XRD peak list of RbNaPd. It was derived from a structure optimized by DFT (GGA-PBE), using copper Kα.
Neutral-atom scattering factors, no anomalous dispersion.

Unit cell a=7.124 b=6.571 c=9.111 alpha=90.00 beta=112.36 gamma=90.00
Space group P2_1/c (No. 14)
Symmetry-distinct sites (fractional):
Rb  0.159  0.108  0.370
Na  0.417  0.624  0.317
Pd  0.185  0.593  0.537

Peak list (8 most intense, 2θ = 5–70°, sorted by position)
Position (°2θ)  d/Å  I_rel
13.44  6.589  755
17.11  5.182  462
19.15  4.635  507
27.09  3.292  408
30.45  2.935  989
30.56  2.926  446
32.51  2.754  1000
33.95  2.640  642